Simulated powder diffractogram of Rb2FePtF6 for Cu Kα, 1.54184 Å, from a structure optimized by DFT (PBE+U).
Kinematic intensities with the Lorentz-polarization factor, no thermal factor.

Peak list (10 most intense, 10 to 90 degrees two-theta, by angle)
| 2θ (°) | intensity | hkl |
| --- | --- | --- |
| 17.35 | 26 | 1 0 1 |
| 19.17 | 14 | 1 1 0 |
| 27.24 | 61 | 2 0 0 |
| 29.13 | 100 | 1 1 2 |
| 32.48 | 22 | 2 1 1 |
| 38.91 | 41 | 2 2 0 |
| 44.27 | 15 | 0 0 4 |
| 49.33 | 43 | 3 1 2 |
| 52.76 | 20 | 2 0 4 |
| 60.38 | 21 | 2 2 4 |

Cell and atoms:
```
data_Rb2FePtF6
_chemical_formula_sum 'Rb4 Fe2 Pt2 F12'
_cell_length_a 6.5468
_cell_length_b 6.5468
_cell_length_c 8.1841
_cell_angle_alpha 90.00
_cell_angle_beta 90.00
_cell_angle_gamma 90.00
_space_group_name_H-M_alt 'I 4/m m m'
_space_group_IT_number 139
_space_group_name_Hall '-I 4 2'
loop_
_atom_site_label
_atom_site_fract_x
_atom_site_fract_y
_atom_site_fract_z
Rb1 0.0000 0.5000 0.2500
Fe1 0.0000 0.0000 0.0000
Pt1 0.0000 0.0000 0.5000
F1 0.0000 0.0000 0.2468
F2 0.2097 0.2097 0.0000
```